Theoretical powder XRD pattern of Li2FeF4 for Cu Kα (weighted mean of Kα1 and Kα2), from a DFT-relaxed cell (GGA+U, the Materials Project).
Peak positions follow from Bragg's law for the DFT cell and can differ from measured ones.

Most intense lines, 10° ≤ 2θ ≤ 90°, low angle first:
2theta	I/Imax
12.79	64
14.40	43
19.31	62
24.17	50
25.74	34
31.85	39
41.53	100
43.22	37
60.19	31
61.49	48

Atomic structure:
Cell lengths 9.652, 9.652, 9.652 Å; angles 100.84, 100.84, 128.59 degrees
Positions (direct):
Li (0.000, 0.140, 0.140)
Li (0.000, 0.860, 0.860)
Li (0.140, 0.000, 0.640)
Li (0.140, 0.500, 0.140)
Li (0.244, 0.494, 0.487)
Li (0.244, 0.756, 0.750)
Li (0.494, 0.244, 0.987)
Li (0.494, 0.506, 0.250)
Li (0.500, 0.140, 0.640)
Li (0.500, 0.860, 0.360)
Li (0.506, 0.494, 0.750)
Li (0.506, 0.756, 0.013)
Li (0.756, 0.244, 0.250)
Li (0.756, 0.506, 0.513)
Li (0.860, 0.000, 0.360)
Li (0.860, 0.500, 0.860)
Fe (0.109, 0.727, 0.382)
Fe (0.156, 0.273, 0.882)
Fe (0.273, 0.156, 0.382)
Fe (0.273, 0.891, 0.118)
Fe (0.727, 0.109, 0.882)
Fe (0.727, 0.844, 0.618)
Fe (0.844, 0.727, 0.118)
Fe (0.891, 0.273, 0.618)
F (0.019, 0.647, 0.128)
F (0.019, 0.892, 0.372)
F (0.108, 0.981, 0.128)
F (0.113, 0.232, 0.365)
F (0.113, 0.748, 0.881)
F (0.129, 0.506, 0.622)
F (0.232, 0.113, 0.865)
F (0.232, 0.367, 0.119)
F (0.252, 0.633, 0.365)
F (0.252, 0.887, 0.619)
F (0.353, 0.981, 0.372)
F (0.367, 0.232, 0.619)
F (0.367, 0.748, 0.135)
F (0.384, 0.506, 0.878)
F (0.494, 0.616, 0.622)
F (0.494, 0.871, 0.878)
F (0.506, 0.129, 0.122)
F (0.506, 0.384, 0.378)
F (0.616, 0.494, 0.122)
F (0.633, 0.252, 0.865)
F (0.633, 0.768, 0.381)
F (0.647, 0.019, 0.628)
F (0.748, 0.113, 0.381)
F (0.748, 0.367, 0.635)
F (0.768, 0.633, 0.881)
F (0.768, 0.887, 0.135)
F (0.871, 0.494, 0.378)
F (0.887, 0.252, 0.119)
F (0.887, 0.768, 0.635)
F (0.892, 0.019, 0.872)
F (0.981, 0.108, 0.628)
F (0.981, 0.353, 0.872)